1.
For Al16Co13, a crystal structure in OQMD, relaxed with PBE gives the theoretical PXRD pattern in this record (Cu Kα, 1.54184 Å).
No peak broadening, texture or thermal motion is included.

Crystal structure
Unit cell a=8.9944 b=8.9944 c=8.9944 alpha=90.00 beta=90.00 gamma=90.00
Space group I-43m (No. 217)
Asymmetric unit:
Al1 0.0979 0.0979 0.6955 (multiplicity 24)
Al2 0.1778 0.1778 0.1778 (multiplicity 8)
Co1 0.0000 0.0000 0.0000 (multiplicity 2)
Co2 0.0542 0.3588 0.6412 (multiplicity 24)

Principal peaks in the range 2θ from 10° to 90°, in order of rising 2θ:
| 2θ (°) | Rel. int. |
| --- | --- |
| 13.92 | 18.2 |
| 24.24 | 12.1 |
| 40.10 | 16.9 |
| 42.65 | 100.0 |
| 47.41 | 17.4 |
| 49.66 | 8.7 |
| 51.83 | 18.9 |
| 78.08 | 20.2 |



2.
For Al5Co, a crystal structure in OQMD, relaxed with PBE gives the theoretical PXRD pattern in this record (Cu Kα, 1.54184 Å).
No peak broadening, texture or thermal motion is included.

Crystal structure
Unit cell a=5.1059 b=6.4113 c=11.8474 alpha=90.00 beta=90.00 gamma=90.00
Space group Pmc2_1 (No. 26)
Asymmetric unit:
Al1 0.0000 0.0527 0.0000 (multiplicity 2)
Al2 0.0000 0.3419 0.8238 (multiplicity 2)
Al3 0.0000 0.3834 0.1551 (multiplicity 2)
Al4 0.2476 0.0773 0.2937 (multiplicity 4)
Al5 0.2484 0.3938 0.4734 (multiplicity 4)
Al6 0.5000 0.2206 0.1106 (multiplicity 2)
Al7 0.5000 0.2321 0.6647 (multiplicity 2)
Al8 0.5000 0.2653 0.8946 (multiplicity 2)
Co1 0.0000 0.2367 0.6305 (multiplicity 2)
Co2 0.5000 0.0806 0.4738 (multiplicity 2)

Principal peaks in the range 2θ from 10° to 90°, in order of rising 2θ:
| 2θ (°) | Rel. int. |
| --- | --- |
| 15.72 | 87.2 |
| 23.00 | 59.3 |
| 40.31 | 61.1 |
| 40.99 | 100.0 |
| 41.51 | 61.6 |
| 44.46 | 57.3 |
| 45.97 | 51.0 |
| 46.71 | 62.0 |



What did the first record say?
For Al16Co13, a crystal structure in OQMD, relaxed with PBE gives the theoretical PXRD pattern in this record (Cu Kα, 1.54184 Å).
No peak broadening, texture or thermal motion is included.

Crystal structure
Unit cell a=8.9944 b=8.9944 c=8.9944 alpha=90.00 beta=90.00 gamma=90.00
Space group I-43m (No. 217)
Asymmetric unit:
Al1 0.0979 0.0979 0.6955 (multiplicity 24)
Al2 0.1778 0.1778 0.1778 (multiplicity 8)
Co1 0.0000 0.0000 0.0000 (multiplicity 2)
Co2 0.0542 0.3588 0.6412 (multiplicity 24)

Principal peaks in the range 2θ from 10° to 90°, in order of rising 2θ:
| 2θ (°) | Rel. int. |
| --- | --- |
| 13.92 | 18.2 |
| 24.24 | 12.1 |
| 40.10 | 16.9 |
| 42.65 | 100.0 |
| 47.41 | 17.4 |
| 49.66 | 8.7 |
| 51.83 | 18.9 |
| 78.08 | 20.2 |